Structure and computed powder XRD pattern of Gd2HoMg3In2Hg (a cell relaxed with GGA-PBE; Cu Kα (weighted mean of Kα1 and Kα2)).
Peak positions follow from Bragg's law for the DFT cell and can differ from measured ones.

Structural model:
```
Gd2HoMg3In2Hg
1.0
4.6317 0.0000 0.0000
0.0000 6.5030 3.7808
0.0000 -6.5030 3.7808
Gd Ho Mg In Hg
2 1 3 2 1
direct
0.0000 0.2102 0.7898
0.0000 0.7898 0.2102
0.0000 0.3691 0.3691
0.5000 0.0273 0.0273
0.5000 0.5499 0.7890
0.5000 0.7890 0.5499
0.5000 0.1243 0.4553
0.5000 0.4553 0.1243
0.0000 0.7858 0.7858
```

Main lines, most intense first (10° ≤ 2θ ≤ 90°):
2θ 33.56, I 100; 2θ 30.59, I 65; 2θ 33.68, I 51; 2θ 23.55, I 37; 2θ 38.89, I 36; 2θ 41.41, I 36; 2θ 27.29, I 29; 2θ 23.66, I 28; 2θ 19.16, I 28; 2θ 41.53, I 25